The following is a simulated powder diffractogram of Na3B4C2. It was derived from DFT lattice parameters and positions (GGA-PBE), using λ = 1.5418 Å (Cu Kα).

Structure:
Cell lengths 15.2497, 2.8292, 9.9487 Å; angles 90.00, 120.75, 90.00 degrees
Space group Cm (No. 8)
Symmetry-distinct sites (fractional):
Na 0.0000 0.0000 0.0000 x2
Na 0.0020 0.5000 0.5044 x2
Na 0.1665 0.5000 0.9970 x2
Na 0.1681 0.0000 0.5041 x2
Na 0.3339 0.0000 0.0002 x2
Na 0.3365 0.5000 0.5070 x2
B 0.0330 0.5000 0.2522 x2
B 0.1394 0.5000 0.2519 x2
B 0.1414 0.0000 0.7526 x2
B 0.2068 0.0000 0.2520 x2
B 0.3077 0.5000 0.7521 x2
B 0.3568 0.5000 0.2523 x2
B 0.4664 0.5000 0.2523 x2
B 0.4742 0.0000 0.7517 x2
C 0.0294 0.0000 0.7518 x2
C 0.1966 0.5000 0.7533 x2
C 0.3070 0.0000 0.2522 x2
C 0.3625 0.0000 0.7514 x2

Peak list (10 most intense, 2θ = 5–70°, by angle)
two_theta	intensity
20.78	1
35.31	8
36.34	12
41.33	36
42.24	100
56.23	4
56.95	7
64.06	13
66.05	6
68.13	1

---

The following is a simulated powder diffractogram of Zr2In3. It was derived from DFT lattice parameters and positions (GGA-PBE), using λ = 1.5418 Å (Cu Kα).

Structure:
Cell lengths 7.0609, 7.0609, 4.5008 Å; angles 90.00, 90.00, 90.00 degrees
Space group P4/m (No. 83)
Symmetry-distinct sites (fractional):
Zr 0.1223 0.6973 0.0000 x4
In 0.0000 0.0000 0.5000 x1
In 0.1854 0.3958 0.5000 x4
In 0.5000 0.5000 0.0000 x1

Peak list (10 most intense, 2θ = 5–70°, by angle)
two_theta	intensity
23.44	1
34.70	100
35.98	1
40.07	17
40.40	32
57.59	1
58.21	21
58.45	10
69.35	13
69.80	22

---

The following is a simulated powder diffractogram of ZrNbH4. It was derived from DFT lattice parameters and positions (GGA-PBE), using λ = 1.5418 Å (Cu Kα).

Structure:
Cell lengths 4.6417, 4.6417, 9.4941 Å; angles 90.00, 90.00, 90.00 degrees
Space group I4_1/amd (No. 141, origin choice 2)
Symmetry-distinct sites (fractional):
Zr 0.0000 0.2500 0.3750 x4
Nb 0.0000 0.2500 0.8750 x4
H 0.2363 0.0000 0.0000 x16

Peak list (8 most intense, 2θ = 5–70°, by angle)
two_theta	intensity
33.18	100
37.91	16
38.80	30
55.37	23
56.04	11
65.48	13
66.70	25
69.66	11

---

The following is a simulated powder diffractogram of KPuTlPb. It was derived from DFT lattice parameters and positions (GGA-PBE), using λ = 1.5418 Å (Cu Kα).

Structure:
Cell lengths 8.0099, 8.0099, 8.0099 Å; angles 90.00, 90.00, 90.00 degrees
Space group F-43m (No. 216)
Symmetry-distinct sites (fractional):
K 0.0000 0.0000 0.0000 x4
Pu 0.0000 0.0000 0.5000 x4
Tl 0.2500 0.2500 0.2500 x4
Pb 0.2500 0.2500 0.7500 x4

Peak list (10 most intense, 2θ = 5–70°, by angle)
two_theta	intensity
19.19	17
22.20	4
31.59	100
37.23	11
45.29	19
49.61	5
56.26	40
60.01	4
65.97	12
69.42	4

---

The following is a simulated powder diffractogram of Sb6PdRu. It was derived from DFT lattice parameters and positions (GGA-PBE), using λ = 1.5418 Å (Cu Kα).

Structure:
Cell lengths 13.3334, 9.4236, 9.4230 Å; angles 90.00, 134.97, 90.00 degrees
Space group C2/m (No. 12)
Symmetry-distinct sites (fractional):
Sb 0.0048 0.1550 0.1638 x8
Sb 0.1509 0.5000 0.9978 x4
Sb 0.1544 0.3409 0.6498 x8
Sb 0.1685 0.5000 0.3244 x4
Pd 0.2500 0.2500 0.0000 x4
Ru 0.2500 0.2500 0.5000 x4

Peak list (10 most intense, 2θ = 5–70°, by angle)
two_theta	intensity
13.28	11
18.83	13
29.98	100
35.64	33
42.91	41
45.11	10
47.24	26
49.29	28
56.96	16
67.38	17

---

The following is a simulated powder diffractogram of Zr6Al2NiH10. It was derived from DFT lattice parameters and positions (GGA-PBE), using λ = 1.5418 Å (Cu Kα).

Structure:
Cell lengths 8.0816, 8.0816, 7.2096 Å; angles 90.00, 90.00, 120.00 degrees
Space group P-62c (No. 190)
Symmetry-distinct sites (fractional):
Zr 0.0000 0.7366 0.0000 x6
Zr 0.0482 0.4204 0.2500 x6
Al 0.3333 0.6667 0.5513 x4
Ni 0.0000 0.0000 0.2500 x2
H 0.0000 0.0000 0.0000 x2
H 0.0000 0.2781 0.0000 x6
H 0.1118 0.7041 0.2500 x6
H 0.1193 0.8801 0.7500 x6

Peak list (10 most intense, 2θ = 5–70°, by angle)
two_theta	intensity
12.65	14
33.31	100
33.89	52
35.76	49
36.17	19
38.59	32
42.38	20
50.65	14
62.34	17
63.42	25

---

The following is a simulated powder diffractogram of CaYGa3O7. It was derived from DFT lattice parameters and positions (GGA-PBE), using λ = 1.5418 Å (Cu Kα).

Structure:
Cell lengths 11.1630, 11.2515, 5.2367 Å; angles 90.00, 90.00, 90.00 degrees
Space group Cmm2 (No. 35)
Symmetry-distinct sites (fractional):
Ca 0.0000 0.1599 0.0000 x4
Y 0.1591 0.5000 0.0399 x4
Ga 0.0000 0.3562 0.5556 x4
Ga 0.1468 0.0000 0.4824 x4
Ga 0.2500 0.2500 0.5195 x4
O 0.0000 0.0000 0.3184 x2
O 0.0000 0.3713 0.2090 x4
O 0.0000 0.5000 0.7381 x2
O 0.1242 0.2838 0.7340 x8
O 0.1529 0.0000 0.8282 x4
O 0.2260 0.1217 0.3030 x8

Peak list (10 most intense, 2θ = 5–70°, by angle)
two_theta	intensity
23.22	34
28.24	27
30.39	84
30.52	100
34.25	22
35.75	28
35.92	27
50.34	30
50.48	44
58.99	25

---

The following is a simulated powder diffractogram of RbHf2Fe. It was derived from DFT lattice parameters and positions (GGA-PBE), using λ = 1.5418 Å (Cu Kα).

Structure:
Cell lengths 7.2529, 7.2529, 11.0800 Å; angles 90.00, 90.00, 90.00 degrees
Space group I4_1/amd (No. 141, origin choice 2)
Symmetry-distinct sites (fractional):
Rb 0.0000 0.2500 0.3750 x4
Hf 0.0000 0.0000 0.0000 x8
Fe 0.0000 0.2500 0.8750 x4

Peak list (10 most intense, 2θ = 5–70°, by angle)
two_theta	intensity
14.60	100
23.64	30
27.09	36
28.68	63
29.44	96
36.88	21
42.66	23
48.37	49
50.32	22
59.38	27

---

The following is a simulated powder diffractogram of Pr16Nd6Er7. It was derived from DFT lattice parameters and positions (GGA-PBE), using λ = 1.5418 Å (Cu Kα).

Structure:
Cell lengths 16.0740, 16.0740, 16.0740 Å; angles 90.00, 90.00, 90.00 degrees
Space group Fm-3m (No. 225)
Symmetry-distinct sites (fractional):
Pr 0.1216 0.1216 0.1216 x32
Pr 0.1536 0.1536 0.3464 x32
Nd 0.0000 0.0000 0.2928 x24
Er 0.0000 0.0000 0.0000 x4
Er 0.0000 0.2500 0.2500 x24

Peak list (10 most intense, 2θ = 5–70°, by angle)
two_theta	intensity
27.18	10
28.86	28
31.48	100
32.97	7
43.23	12
45.12	12
56.06	20
57.01	8
59.49	10
69.15	8

---

The following is a simulated powder diffractogram of Ac8GaSn5. It was derived from DFT lattice parameters and positions (GGA-PBE), using λ = 1.5418 Å (Cu Kα).

Structure:
Cell lengths 10.1223, 10.1223, 10.1939 Å; angles 90.00, 90.00, 90.00 degrees
Space group I-4 (No. 82)
Symmetry-distinct sites (fractional):
Ac 0.0670 0.3141 0.4464 x8
Ac 0.0721 0.1803 0.8053 x8
Ga 0.0000 0.0000 0.5000 x2
Sn 0.0000 0.5000 0.7500 x2
Sn 0.1236 0.2486 0.1255 x8

Peak list (10 most intense, 2θ = 5–70°, by angle)
two_theta	intensity
21.45	19
24.83	18
27.69	49
27.86	100
33.00	69
33.10	31
43.76	22
45.54	29
45.69	20
55.96	25

---

The following is a simulated powder diffractogram of SbPb. It was derived from DFT lattice parameters and positions (GGA-PBE), using λ = 1.5418 Å (Cu Kα).

Structure:
Cell lengths 8.6442, 8.6442, 8.6442 Å; angles 90.00, 90.00, 90.00 degrees
Space group Pm-3n (No. 223)
Symmetry-distinct sites (fractional):
Sb 0.0000 0.2500 0.5000 x6
Pb 0.0000 0.5000 0.2500 x6

Peak list (10 most intense, 2θ = 5–70°, by angle)
two_theta	intensity
14.49	100
20.55	23
25.24	56
29.22	19
32.76	29
35.99	67
38.99	36
41.80	33
54.10	21
60.60	22

---

The following is a simulated powder diffractogram of CeAgAu3. It was derived from DFT lattice parameters and positions (GGA-PBE), using λ = 1.5418 Å (Cu Kα).

Structure:
Cell lengths 18.8658, 5.1300, 4.9702 Å; angles 90.00, 105.24, 90.00 degrees
Space group C2/m (No. 12)
Symmetry-distinct sites (fractional):
Ce 0.1161 0.0000 0.3681 x4
Ag 0.1245 0.5000 0.8734 x4
Au 0.0333 0.5000 0.2831 x4
Au 0.2069 0.0000 0.9591 x4
Au 0.2090 0.5000 0.4569 x4

Peak list (10 most intense, 2θ = 5–70°, by angle)
two_theta	intensity
9.72	19
17.96	14
31.86	13
34.98	35
36.14	32
38.96	100
51.18	24
65.40	11
65.41	11
66.88	21